No. 1
For Tb3Sc, a cell relaxed with GGA-PBE gives the simulated powder XRD pattern in this record (Cu Kα (λ = 1.5418 Å)).

Most intense lines, 2θ from 5° to 70°, low angle first:
(hkl), 2θ (°), d/Å, intensity
1 0 0, 17.99, 4.930, 13.3
1 1 0, 25.55, 3.486, 11.8
1 1 1, 31.43, 2.847, 100.0
2 0 0, 36.45, 2.465, 50.3
2 1 0, 40.93, 2.205, 7.1
2 1 1, 45.04, 2.013, 5.4
2 2 0, 52.50, 1.743, 35.2
3 0 0, 55.95, 1.643, 3.7
3 1 0, 59.27, 1.559, 2.5
3 1 1, 62.48, 1.487, 41.5
2 2 2, 65.59, 1.423, 11.9
3 2 0, 68.63, 1.367, 1.6

```
data_Tb3Sc
_symmetry_space_group_name_H-M 'P m -3 m'
_symmetry_Int_Tables_number 221
_symmetry_space_group_name_Hall '-P 4 2 3'
_cell_length_a 4.930
_cell_length_b 4.930
_cell_length_c 4.930
_cell_angle_alpha 90.00
_cell_angle_beta 90.00
_cell_angle_gamma 90.00
loop_
_atom_site_label
_atom_site_type_symbol
_atom_site_fract_x
_atom_site_fract_y
_atom_site_fract_z
Tb1 Tb 0.000 0.000 0.500
Sc1 Sc 0.500 0.500 0.500
```



No. 2
For K2LaCl5, a cell relaxed with GGA-PBE gives the simulated powder XRD pattern in this record (Cu Kα (λ = 1.5418 Å)).

Most intense lines, 2θ from 5° to 70°, low angle first:
(hkl), 2θ (°), d/Å, intensity
1 0 1, 12.85, 6.889, 100.0
2 0 0, 13.66, 6.482, 56.1
0 1 1, 14.72, 6.017, 34.8
3 0 1, 23.31, 3.816, 45.1
1 2 1, 23.72, 3.751, 62.3
2 2 0, 24.18, 3.681, 39.3
1 2 2, 30.51, 2.930, 42.9
2 2 2, 32.82, 2.729, 64.6
4 2 0, 34.17, 2.624, 54.6
2 1 3, 37.34, 2.408, 52.5
0 4 0, 40.34, 2.236, 38.2
6 0 0, 41.78, 2.162, 54.8

```
data_K2LaCl5
_symmetry_space_group_name_H-M 'P n m a'
_symmetry_Int_Tables_number 62
_cell_length_a 12.963
_cell_length_b 8.944
_cell_length_c 8.132
_cell_angle_alpha 90.00
_cell_angle_beta 90.00
_cell_angle_gamma 90.00
loop_
_symmetry_equiv_pos_as_xyz
'x,y,z'
'-x,-y,-z'
'-x+1/2,-y,z+1/2'
'x+1/2,y,-z+1/2'
'x+1/2,-y+1/2,-z+1/2'
'-x+1/2,y+1/2,z+1/2'
'-x,y+1/2,-z'
'x,-y+1/2,z'
loop_
_atom_site_label
_atom_site_type_symbol
_atom_site_fract_x
_atom_site_fract_y
_atom_site_fract_z
K1 K 0.172 0.005 0.048
La1 La 0.006 0.250 0.577
Cl1 Cl 0.007 0.250 0.927
Cl2 Cl 0.079 0.543 0.664
Cl3 Cl 0.180 0.250 0.369
Cl4 Cl 0.206 0.750 0.332
```



No. 3
For K2SrCl4, a cell relaxed with GGA-PBE gives the simulated powder XRD pattern in this record (Cu Kα (λ = 1.5418 Å)).

Most intense lines, 2θ from 5° to 70°, low angle first:
(hkl), 2θ (°), d/Å, intensity
0 0 3, 9.85, 8.980, 48.0
1 0 1, 19.51, 4.549, 48.1
0 1 5, 25.41, 3.505, 16.6
0 0 9, 29.85, 2.993, 27.5
0 1 8, 32.92, 2.720, 59.5
1 1 0, 33.63, 2.665, 100.0
1 1 3, 35.13, 2.555, 13.7
1 1 9, 45.58, 1.990, 46.2
2 0 8, 47.78, 1.904, 18.9
1 2 8, 59.69, 1.549, 18.5
3 0 0, 60.14, 1.539, 15.8
3 0 9, 68.58, 1.368, 12.5

```
data_K2SrCl4
_symmetry_space_group_name_H-M 'R -3 m'
_symmetry_Int_Tables_number 166
_symmetry_space_group_name_Hall '-R 3 2"'
_cell_length_a 5.3297
_cell_length_b 5.3297
_cell_length_c 26.9402
_cell_angle_alpha 90.00
_cell_angle_beta 90.00
_cell_angle_gamma 120.00
loop_
_atom_site_label
_atom_site_type_symbol
_atom_site_fract_x
_atom_site_fract_y
_atom_site_fract_z
K1 K 0.0000 0.0000 0.2299
Sr1 Sr 0.0000 0.0000 0.0000
Cl1 Cl 0.0000 0.0000 0.1097
Cl2 Cl 0.0000 0.0000 0.3596
```



No. 4
For Co2Ge3S3, a cell relaxed with GGA-PBE gives the simulated powder XRD pattern in this record (Cu Kα (λ = 1.5418 Å)).

Most intense lines, 2θ from 5° to 70°, low angle first:
(hkl), 2θ (°), d/Å, intensity
0 1 2, 15.55, 5.699, 9.6
0 0 3, 19.06, 4.657, 9.5
2 0 2, 22.06, 4.029, 27.6
3 0 0, 27.10, 3.290, 13.1
4 -3 1, 33.37, 2.685, 13.0
3 1 2, 35.22, 2.548, 100.0
4 -3 4, 41.95, 2.154, 32.6
6 -2 2, 50.66, 1.802, 49.9
6 -4 4, 55.88, 1.645, 23.5
6 0 0, 55.93, 1.644, 8.0
1 4 6, 58.38, 1.581, 20.1
8 -3 2, 67.85, 1.381, 10.4

```
data_Co2Ge3S3
_symmetry_space_group_name_H-M 'R -3'
_symmetry_Int_Tables_number 148
_symmetry_space_group_name_Hall '-R 3'
_cell_length_a 11.3894
_cell_length_b 11.3894
_cell_length_c 13.9765
_cell_angle_alpha 90.00
_cell_angle_beta 90.00
_cell_angle_gamma 120.00
loop_
_atom_site_label
_atom_site_type_symbol
_atom_site_fract_x
_atom_site_fract_y
_atom_site_fract_z
Co1 Co 0.0000 0.0000 0.2438
Co2 Co 0.0002 0.4974 0.2439
Ge1 Ge 0.0105 0.1728 0.3381
Ge2 Ge 0.0594 0.6048 0.6064
S1 S 0.0175 0.1800 0.8342
S2 S 0.0540 0.6014 0.1014
```



No. 5
For Na4Bi2C4SO16, a cell relaxed with GGA-PBE gives the simulated powder XRD pattern in this record (Cu Kα (λ = 1.5418 Å)).

Most intense lines, 2θ from 5° to 70°, low angle first:
(hkl), 2θ (°), d/Å, intensity
1 0 0, 10.43, 8.480, 79.7
1 0 -1, 10.52, 8.407, 100.0
0 1 1, 19.76, 4.493, 42.7
0 1 -2, 19.91, 4.459, 51.0
2 -1 0, 20.13, 4.411, 56.5
-2 1 1, 20.24, 4.387, 34.9
2 1 -1, 20.41, 4.352, 36.1
0 2 0, 20.88, 4.254, 34.2
0 2 -2, 21.04, 4.222, 61.2
2 2 -2, 24.79, 3.591, 36.0
2 2 0, 34.38, 2.609, 68.9
2 2 -4, 34.91, 2.570, 41.9

```
data_Na4Bi2C4SO16
_symmetry_space_group_name_H-M 'P 1'
_symmetry_Int_Tables_number 1
_cell_length_a 10.209
_cell_length_b 10.281
_cell_length_c 10.290
_cell_angle_alpha 118.93
_cell_angle_beta 118.77
_cell_angle_gamma 90.98
loop_
_symmetry_equiv_pos_as_xyz
'x,y,z'
loop_
_atom_site_label
_atom_site_type_symbol
_atom_site_fract_x
_atom_site_fract_y
_atom_site_fract_z
Na1 Na 0.000 0.000 0.000
Na2 Na 0.002 0.001 0.393
Na3 Na 0.351 0.843 0.491
Na4 Na 0.585 0.582 0.974
Na5 Na 0.592 0.997 0.990
Na6 Na 0.732 0.248 0.491
Na7 Na 0.735 0.844 0.493
Na8 Na 0.992 0.592 0.990
Bi1 Bi 0.170 0.423 0.738
Bi2 Bi 0.170 0.920 0.745
Bi3 Bi 0.172 0.416 0.245
Bi4 Bi 0.661 0.420 0.237
C1 C 0.002 0.196 0.796
C2 C 0.335 0.650 0.683
C3 C 0.384 0.192 0.174
C4 C 0.384 0.198 0.798
C5 C 0.386 0.586 0.176
C6 C 0.937 0.246 0.296
C7 C 0.937 0.636 0.678
C8 C 0.948 0.654 0.301
S1 S 0.543 0.043 0.491
S2 S 0.796 0.798 0.997
O1 O 0.018 0.204 0.932
O2 O 0.053 0.631 0.804
O3 O 0.055 0.242 0.279
O4 O 0.065 0.786 0.428
O5 O 0.256 0.200 0.679
O6 O 0.258 0.071 0.046
O7 O 0.263 0.586 0.185
O8 O 0.314 0.639 0.542
O9 O 0.344 0.532 0.698
O10 O 0.348 0.784 0.811
O11 O 0.367 0.980 0.374
O12 O 0.377 0.571 0.039
O13 O 0.383 0.319 0.293
O14 O 0.387 0.066 0.788
O15 O 0.505 0.325 0.926
O16 O 0.517 0.191 0.182
O17 O 0.519 0.599 0.303
O18 O 0.600 0.978 0.605
O19 O 0.602 0.218 0.606
O20 O 0.611 0.988 0.379
O21 O 0.734 0.855 0.115
O22 O 0.741 0.624 0.885
O23 O 0.741 0.864 0.886
O24 O 0.806 0.248 0.180
O25 O 0.814 0.642 0.289
O26 O 0.818 0.509 0.540
O27 O 0.941 0.769 0.689
O28 O 0.948 0.244 0.427
O29 O 0.964 0.537 0.187
O30 O 0.974 0.858 0.115
O31 O 0.991 0.065 0.668
O32 O 0.998 0.318 0.786
```



No. 6
For K3Ti4Ge3O20, a cell relaxed with GGA-PBE gives the simulated powder XRD pattern in this record (Cu Kα (λ = 1.5418 Å)).

Most intense lines, 2θ from 5° to 70°, low angle first:
(hkl), 2θ (°), d/Å, intensity
0 0 1, 11.15, 7.935, 100.0
2 0 1, 19.38, 4.581, 11.6
2 2 0, 22.41, 3.967, 20.9
3 1 1, 27.54, 3.239, 26.6
2 2 2, 31.90, 2.805, 40.1
3 3 1, 35.79, 2.509, 18.6
2 0 3, 37.59, 2.393, 9.3
4 0 2, 39.34, 2.290, 10.1
2 2 4, 51.49, 1.775, 10.4
6 2 0, 51.57, 1.772, 5.5
4 0 4, 56.85, 1.620, 8.9
4 4 4, 66.65, 1.403, 7.5

```
data_K3Ti4Ge3O20
_symmetry_space_group_name_H-M 'P -4 b 2'
_symmetry_Int_Tables_number 117
_cell_length_a 11.209
_cell_length_b 11.209
_cell_length_c 7.949
_cell_angle_alpha 90.00
_cell_angle_beta 90.00
_cell_angle_gamma 90.00
loop_
_symmetry_equiv_pos_as_xyz
'x,y,z'
'y,-x,-z'
'-x,-y,z'
'-y,x,-z'
'-x+1/2,y+1/2,z'
'-y+1/2,-x+1/2,-z'
'x+1/2,-y+1/2,z'
'y+1/2,x+1/2,-z'
loop_
_atom_site_label
_atom_site_type_symbol
_atom_site_fract_x
_atom_site_fract_y
_atom_site_fract_z
K1 K 0.000 0.500 0.000
K2 K 0.235 0.265 0.500
Ti1 Ti 0.009 0.855 0.855
Ge1 Ge 0.000 0.000 0.500
Ge2 Ge 0.230 0.270 0.000
O1 O 0.004 0.868 0.620
O2 O 0.013 0.886 0.112
O3 O 0.053 0.698 0.240
O4 O 0.099 0.271 0.877
O5 O 0.151 0.761 0.856
```



> What is the formula in the fifth record?

Na4Bi2C4SO16